Entry 1:
Structure and simulated powder diffractogram of Ba2CdAs (a crystal structure in OQMD, relaxed with PBE; Cu Kα X-rays).

Principal peaks in the range 10 to 90 degrees two-theta, sorted by position:
h k l  two_theta  d (Å)  I_rel
2 2 0  31.2  2.864  100
4 0 0  44.8  2.025  18
4 2 2  55.6  1.653  38
4 4 0  65.1  1.432  12
6 2 0  74.0  1.281  16
4 4 4  82.5  1.169  4

Crystal structure
Cell lengths 8.100, 8.100, 8.100 Å; angles 90.00, 90.00, 90.00 degrees
Space group F-43m (No. 216)
One atom of each set of equivalent atoms:
Ba1 0.000 0.000 0.000 x4
Ba2 0.250 0.250 0.250 x4
Cd1 0.250 0.250 0.750 x4
As1 0.000 0.000 0.500 x4

=====

Entry 2:
Structure and simulated powder diffractogram of Ba2Cd2SbAsF2 (a crystal structure in OQMD, relaxed with PBE; Cu Kα X-rays).

Principal peaks in the range 10 to 90 degrees two-theta, sorted by position:
h k l  two_theta  d (Å)  I_rel
1 0 2  27.2  3.276  100
1 1 1  29.6  3.018  37
1 1 2  33.8  2.648  85
2 0 0  40.1  2.249  64
1 1 4  47.6  1.912  36
2 1 2  49.1  1.854  39

Crystal structure
Cell lengths 4.497, 4.497, 9.567 Å; angles 90.00, 90.00, 90.00 degrees
Space group P4mm (No. 99)
One atom of each set of equivalent atoms:
Ba1 0.000 0.000 0.000 x1
Ba2 0.500 0.500 0.300 x1
Cd1 0.000 0.500 0.666 x2
Sb1 0.000 0.000 0.473 x1
As1 0.500 0.500 0.843 x1
F1 0.000 0.500 0.151 x2

=====

Entry 3:
Structure and simulated powder diffractogram of BaMgCdAs2 (a crystal structure in OQMD, relaxed with PBE; Cu Kα X-rays).

Principal peaks in the range 10 to 90 degrees two-theta, sorted by position:
h k l  two_theta  d (Å)  I_rel
0 1 1  25.4  3.511  100
0 1 2  32.4  2.765  68
1 1 0  39.7  2.272  66
1 0 3  41.7  2.164  33
2 0 1  47.7  1.908  18
1 1 3  53.7  1.708  24

Crystal structure
Cell lengths 4.5444, 4.5444, 7.7720 Å; angles 90.00, 90.00, 120.00 degrees
Space group P3m1 (No. 156)
One atom of each set of equivalent atoms:
Ba1 0.0000 0.0000 0.0000 x1
Mg1 0.3333 0.6667 0.6211 x1
Cd1 0.6667 0.3333 0.3724 x1
As1 0.3333 0.6667 0.2652 x1
As2 0.6667 0.3333 0.7307 x1

=====

Entry 4:
Structure and simulated powder diffractogram of BaCd2As2O8 (a crystal structure in OQMD, relaxed with PBE; Cu Kα X-rays).

Principal peaks in the range 10 to 90 degrees two-theta, sorted by position:
h k l  two_theta  d (Å)  I_rel
0 1 5  27.9  3.195  100
1 1 0  33.8  2.654  76
2 0 5  44.4  2.042  32
3 -2 5  56.9  1.618  28
3 0 0  60.4  1.532  20
2 -1 12  61.0  1.519  18

Crystal structure
Cell lengths 5.3078, 5.3078, 22.2264 Å; angles 90.00, 90.00, 120.00 degrees
Space group R-3 (No. 148, hexagonal axes)
One atom of each set of equivalent atoms:
Ba1 0.0000 0.0000 0.0000 x3
Cd1 0.0000 0.0000 0.1835 x6
As1 0.0000 0.0000 0.4143 x6
O1 0.0000 0.0000 0.3385 x6
O2 0.0036 0.6190 0.2266 x18

=====

Entry 5:
Structure and simulated powder diffractogram of Ba2Cd2As2O (a crystal structure in OQMD, relaxed with PBE; Cu Kα X-rays).

Principal peaks in the range 10 to 90 degrees two-theta, sorted by position:
h k l  two_theta  d (Å)  I_rel
1 0 4  28.5  3.132  100
0 0 8  35.0  2.563  15
1 1 0  39.5  2.284  49
2 0 4  49.4  1.845  22
1 1 8  53.8  1.705  26
2 1 4  65.0  1.435  19

Crystal structure
Cell lengths 4.5678, 4.5678, 20.5059 Å; angles 90.00, 90.00, 120.00 degrees
Space group P6_3/mmc (No. 194)
One atom of each set of equivalent atoms:
Ba1 0.0000 0.0000 0.0000 x2
Ba2 0.0000 0.0000 0.2500 x2
Cd1 0.3333 0.6667 0.1359 x4
As1 0.3333 0.6667 0.6022 x4
O1 0.3333 0.6667 0.2500 x2

=====

Entry 6:
Structure and simulated powder diffractogram of Ba2CdAsP (a crystal structure in OQMD, relaxed with PBE; Cu Kα X-rays).

Principal peaks in the range 10 to 90 degrees two-theta, sorted by position:
h k l  two_theta  d (Å)  I_rel
0 2 2  24.3  3.656  70
1 3 1  27.1  3.291  100
1 5 0  32.2  2.784  93
1 3 2  33.4  2.685  88
0 2 3  35.0  2.565  46
2 0 0  39.3  2.293  71

Crystal structure
Cell lengths 4.585, 17.518, 8.046 Å; angles 90.00, 90.00, 90.00 degrees
Space group Cmc2_1 (No. 36)
One atom of each set of equivalent atoms:
Ba1 0.000 0.038 0.000 x4
Ba2 0.000 0.201 0.666 x4
Cd1 0.000 0.407 0.853 x4
As1 0.000 0.172 0.269 x4
P1 0.000 0.442 0.197 x4